# 1
For CaLaNi, a structure optimized by DFT (PBE) gives the calculated X-ray powder pattern in this record (a wavelength of 1.5418 Å).
Neutral-atom scattering factors, no anomalous dispersion.

Structural model:
Unit cell a=3.904 b=4.200 c=10.904 alpha=90.00 beta=100.17 gamma=90.00
Space group P2_1/m (No. 11)
Unique sites:
Ca1 0.189 0.250 0.379
La1 0.431 0.250 0.862
Ni1 0.041 0.250 0.079

The 10 most intense peaks (10° ≤ 2θ ≤ 80°), by angle:
2θ 26.96, I = 54, (0 1 2); 2θ 30.96, I = 49, (1 0 -3); 2θ 31.56, I = 61, (1 1 0); 2θ 33.40, I = 40, (0 0 4); 2θ 33.75, I = 100, (1 1 1); 2θ 37.80, I = 75, (1 1 2); 2θ 43.07, I = 30, (0 2 0); 2θ 43.26, I = 26, (1 1 -4); 2θ 46.52, I = 24, (2 0 -1); 2θ 75.43, I = 22, (2 2 -5)

=====

# 2
For H7Pd5Rh, a structure optimized by DFT (PBE) gives the calculated X-ray powder pattern in this record (a wavelength of 1.5418 Å).
Neutral-atom scattering factors, no anomalous dispersion.

Structural model:
Unit cell a=2.928 b=4.495 c=17.657 alpha=89.63 beta=89.96 gamma=89.91
Space group P-1 (No. 2)
Unique sites:
H1 0.004 0.248 0.083
H2 0.006 0.748 0.082
H3 0.007 0.269 0.414
H4 0.008 0.765 0.423
H5 0.010 0.255 0.252
H6 0.011 0.792 0.234
H7 0.490 0.198 0.675
Pd1 0.000 0.500 0.000
Pd2 0.000 0.500 0.500
Pd3 0.007 0.501 0.164
Pd4 0.011 0.522 0.332
Pd5 0.493 0.986 0.582
Pd6 0.496 0.000 0.918
Rh1 0.490 0.982 0.755

The 10 most intense peaks (10° ≤ 2θ ≤ 80°), by angle:
2θ 36.38, I = 34, (0 1 6); 2θ 36.62, I = 100, (1 -1 0); 2θ 40.12, I = 25, (0 2 0); 2θ 43.61, I = 40, (1 0 6); 2θ 60.64, I = 8, (-1 2 6); 2θ 60.89, I = 14, (1 -2 6); 2θ 70.70, I = 9, (1 -3 0); 2θ 75.18, I = 8, (1 1 12); 2θ 75.45, I = 11, (2 1 6); 2θ 75.60, I = 11, (2 -1 6)

=====

# 3
For Er4Bi2Os, a structure optimized by DFT (PBE) gives the calculated X-ray powder pattern in this record (a wavelength of 1.5418 Å).
Neutral-atom scattering factors, no anomalous dispersion.

Structural model:
Unit cell a=7.911 b=12.123 c=4.356 alpha=90.00 beta=90.00 gamma=90.00
Space group Pbam (No. 55)
Unique sites:
Er1 0.132 0.197 0.000
Er2 0.206 0.943 0.500
Bi1 0.078 0.672 0.500
Os1 0.000 0.000 0.000

The 10 most intense peaks (10° ≤ 2θ ≤ 80°), by angle:
2θ 24.46, I = 50, (1 1 1); 2θ 24.74, I = 32, (1 3 0); 2θ 31.43, I = 100, (2 1 1); 2θ 31.62, I = 68, (1 4 0); 2θ 32.27, I = 34, (1 3 1); 2θ 34.00, I = 54, (2 2 1); 2θ 37.18, I = 27, (3 2 0); 2θ 41.46, I = 42, (0 0 2); 2θ 44.26, I = 38, (1 5 1); 2θ 53.06, I = 35, (1 4 2)

=====

# 4
For LaReTc2O8, a structure optimized by DFT (PBE) gives the calculated X-ray powder pattern in this record (a wavelength of 1.5418 Å).
Neutral-atom scattering factors, no anomalous dispersion.

Structural model:
Unit cell a=6.830 b=7.031 c=6.275 alpha=90.00 beta=90.00 gamma=90.00
Space group Cmmm (No. 65)
Unique sites:
La1 0.000 0.000 0.000
Re1 0.000 0.000 0.500
Tc1 0.000 0.500 0.270
O1 0.000 0.284 0.500
O2 0.000 0.336 0.000
O3 0.215 0.000 0.296

The 10 most intense peaks (10° ≤ 2θ ≤ 80°), by angle:
2θ 18.11, I = 11, (1 1 0); 2θ 25.33, I = 69, (0 2 0); 2θ 26.09, I = 60, (2 0 0); 2θ 33.93, I = 100, (1 1 2); 2θ 36.69, I = 31, (2 2 0); 2θ 50.40, I = 43, (1 3 2); 2θ 51.25, I = 37, (3 1 2); 2θ 53.68, I = 11, (4 0 0); 2θ 60.25, I = 11, (4 2 0); 2θ 64.31, I = 23, (3 3 2)

=====

# 5
For ZrTi4S8, a structure optimized by DFT (PBE) gives the calculated X-ray powder pattern in this record (a wavelength of 1.5418 Å).
Neutral-atom scattering factors, no anomalous dispersion.

Structural model:
Unit cell a=6.9004 b=6.9004 c=17.9365 alpha=90.00 beta=90.00 gamma=120.00
Space group R-3m (No. 166, hexagonal axes)
Unique sites:
Zr1 0.0000 0.0000 0.0000
Ti1 0.0000 0.0000 0.5000
Ti2 0.0000 0.5000 0.5000
S1 0.0000 0.0000 0.2438
S2 0.0079 0.5040 0.2481

The 10 most intense peaks (10° ≤ 2θ ≤ 80°), by angle:
2θ 14.82, I = 15, (0 0 3); 2θ 15.63, I = 22, (1 0 1); 2θ 17.84, I = 18, (0 1 2); 2θ 24.82, I = 8, (1 0 4); 2θ 29.90, I = 9, (1 1 3); 2θ 36.12, I = 100, (0 2 4); 2θ 50.92, I = 34, (2 0 8); 2θ 53.09, I = 32, (2 2 0); 2θ 65.90, I = 15, (4 0 4); 2θ 76.64, I = 9, (0 4 8)

=====

# 6
For KSbAs2, a structure optimized by DFT (PBE) gives the calculated X-ray powder pattern in this record (a wavelength of 1.5418 Å).
Neutral-atom scattering factors, no anomalous dispersion.

Structural model:
Unit cell a=3.546 b=5.775 c=10.421 alpha=90.00 beta=90.00 gamma=90.00
Space group Imm2 (No. 44)
Unique sites:
K1 0.000 0.000 0.000
Sb1 0.000 0.500 0.803
As1 0.000 0.000 0.526
As2 0.000 0.500 0.202

The 10 most intense peaks (10° ≤ 2θ ≤ 80°), by angle:
2θ 17.56, I = 35, (0 1 1); 2θ 30.02, I = 19, (0 1 3); 2θ 30.97, I = 43, (0 2 0); 2θ 34.31, I = 100, (1 1 2); 2θ 36.20, I = 20, (1 0 3); 2θ 46.31, I = 14, (0 1 5); 2θ 48.37, I = 18, (1 2 3); 2θ 57.26, I = 22, (1 3 2); 2θ 60.75, I = 13, (1 2 5); 2θ 61.36, I = 11, (2 2 0)

=====

# 7
For La2Ge3Ir4Pt, a structure optimized by DFT (PBE) gives the calculated X-ray powder pattern in this record (a wavelength of 1.5418 Å).
Neutral-atom scattering factors, no anomalous dispersion.

Structural model:
Unit cell a=4.268 b=4.268 c=10.571 alpha=90.00 beta=90.00 gamma=90.00
Space group P-4m2 (No. 115)
Unique sites:
La1 0.000 0.500 0.249
Ge1 0.000 0.000 0.000
Ge2 0.000 0.500 0.626
Ir1 0.000 0.000 0.500
Ir2 0.000 0.500 0.858
Ir3 0.500 0.500 0.500
Pt1 0.500 0.500 0.000

The 10 most intense peaks (10° ≤ 2θ ≤ 80°), by angle:
2θ 32.96, I = 35, (1 0 3); 2θ 34.22, I = 100, (1 1 2); 2θ 42.36, I = 58, (2 0 0); 2θ 45.63, I = 34, (1 1 4); 2θ 48.02, I = 22, (1 0 5); 2θ 54.69, I = 17, (2 1 3); 2θ 61.45, I = 20, (2 2 0); 2θ 65.93, I = 17, (2 1 5); 2θ 72.25, I = 23, (3 1 2); 2θ 79.79, I = 14, (3 1 4)

=====

# 8
For CuWAu2, a structure optimized by DFT (PBE) gives the calculated X-ray powder pattern in this record (a wavelength of 1.5418 Å).
Neutral-atom scattering factors, no anomalous dispersion.

Structural model:
Unit cell a=2.8865 b=2.8865 c=26.8141 alpha=90.00 beta=90.00 gamma=120.00
Space group R-3m (No. 166, hexagonal axes)
Unique sites:
Cu1 0.0000 0.0000 0.0000
W1 0.0000 0.0000 0.5000
Au1 0.0000 0.0000 0.2536

The 10 most intense peaks (10° ≤ 2θ ≤ 80°), by angle:
2θ 19.87, I = 8, (0 0 6); 2θ 29.99, I = 6, (0 0 9); 2θ 36.57, I = 6, (0 1 2); 2θ 38.43, I = 100, (1 0 4); 2θ 40.36, I = 28, (0 0 12); 2θ 45.25, I = 62, (0 1 8); 2θ 64.57, I = 22, (1 1 0); 2θ 67.26, I = 18, (1 0 16); 2θ 77.72, I = 13, (0 2 4); 2θ 78.97, I = 24, (1 1 12)

=====

# 9
For BaSr3Ir, a structure optimized by DFT (PBE) gives the calculated X-ray powder pattern in this record (a wavelength of 1.5418 Å).
Neutral-atom scattering factors, no anomalous dispersion.

Structural model:
Unit cell a=7.125 b=9.191 c=7.132 alpha=90.00 beta=98.16 gamma=90.00
Space group P2_1/m (No. 11)
Unique sites:
Ba1 0.228 0.250 0.274
Sr1 0.231 0.750 0.269
Sr2 0.294 0.000 0.795
Ir1 0.499 0.250 0.000

The 10 most intense peaks (10° ≤ 2θ ≤ 80°), by angle:
2θ 12.54, I = 82, (1 0 0); 2θ 19.01, I = 26, (1 0 1); 2θ 26.59, I = 36, (1 0 -2); 2θ 27.23, I = 100, (1 2 1); 2θ 33.26, I = 29, (2 0 -2); 2θ 35.83, I = 26, (2 2 1); 2θ 38.57, I = 22, (2 0 2); 2θ 39.21, I = 21, (0 4 0); 2θ 43.21, I = 31, (0 2 3); 2θ 43.50, I = 60, (3 2 -1)

=====

# 10
For LiCuIrPb, a structure optimized by DFT (PBE) gives the calculated X-ray powder pattern in this record (a wavelength of 1.5418 Å).
Neutral-atom scattering factors, no anomalous dispersion.

Structural model:
Unit cell a=6.365 b=6.365 c=6.365 alpha=90.00 beta=90.00 gamma=90.00
Space group F-43m (No. 216)
Unique sites:
Li1 0.000 0.000 0.000
Cu1 0.250 0.250 0.250
Ir1 0.000 0.000 0.500
Pb1 0.250 0.250 0.750

The 10 most intense peaks (10° ≤ 2θ ≤ 80°), by angle:
2θ 24.22, I = 57, (1 1 1); 2θ 28.04, I = 4, (2 0 0); 2θ 40.06, I = 100, (2 2 0); 2θ 47.37, I = 30, (3 1 1); 2θ 49.61, I = 1, (2 2 2); 2θ 57.95, I = 17, (4 0 0); 2θ 63.73, I = 13, (3 3 1); 2θ 65.59, I = 1, (4 2 0); 2θ 72.78, I = 35, (4 2 2); 2θ 78.00, I = 10, (5 1 1)

=====

# 11
For PmSi3Pt3, a structure optimized by DFT (PBE) gives the calculated X-ray powder pattern in this record (a wavelength of 1.5418 Å).
Neutral-atom scattering factors, no anomalous dispersion.

Structural model:
Unit cell a=6.610 b=6.610 c=6.610 alpha=90.00 beta=90.00 gamma=90.00
Space group Pm-3n (No. 223)
Unique sites:
Pm1 0.000 0.000 0.000
Si1 0.000 0.250 0.500
Pt1 0.000 0.500 0.250

The 10 most intense peaks (10° ≤ 2θ ≤ 80°), by angle:
2θ 26.98, I = 43, (2 0 0); 2θ 30.24, I = 99, (2 1 0); 2θ 33.20, I = 100, (2 1 1); 2θ 47.66, I = 24, (2 2 2); 2θ 49.74, I = 26, (3 2 0); 2θ 51.75, I = 57, (3 2 1); 2θ 55.62, I = 28, (4 0 0); 2θ 64.62, I = 24, (4 2 1); 2θ 77.82, I = 21, (5 2 0); 2θ 79.41, I = 17, (5 2 1)